The following is a simulated powder diffraction line list of BeReIr. It was derived from a cell relaxed with GGA-PBE, using Cu Kα (weighted mean of Kα1 and Kα2).
Peak positions follow from Bragg's law for the DFT cell and can differ from measured ones.

Structure:
```
BeReIr
1.0
2.7348 0.0000 0.0000
0.0000 4.0673 0.0000
-0.2752 0.0000 7.0144
Be Re Ir
2 2 2
direct
0.0000 0.0000 0.0000 Be
0.4698 0.5000 0.5208 Be
0.5426 0.5000 0.1711 Re
0.9214 0.0000 0.3495 Re
0.4711 0.0000 0.6765 Ir
0.9910 0.5000 0.8441 Ir
```

Top 10 peaks for 5 to 70 degrees two-theta, by angle:
d 3.515, 25.34 deg, intensity 100
d 2.198, 41.07 deg, intensity 34
d 2.179, 41.44 deg, intensity 44
d 2.138, 42.27 deg, intensity 62
d 2.116, 42.74 deg, intensity 23
d 2.034, 44.55 deg, intensity 33
d 2.027, 44.71 deg, intensity 66
d 1.493, 62.19 deg, intensity 21
d 1.466, 63.44 deg, intensity 14
d 1.450, 64.22 deg, intensity 9

---

The following is a simulated powder diffraction line list of Tl4TeClF. It was derived from a cell relaxed with GGA-PBE, using Cu Kα (weighted mean of Kα1 and Kα2).
Peak positions follow from Bragg's law for the DFT cell and can differ from measured ones.

Structure:
```
Tl4TeClF
1.0
7.4540 0.0000 0.0000
0.0000 7.2480 0.0000
-2.9341 0.0000 8.5791
Tl Te Cl F
8 2 2 2
direct
0.0384 0.0102 0.2617 Tl
0.0384 0.4898 0.2617 Tl
0.4015 0.2500 0.0879 Tl
0.4085 0.2500 0.6112 Tl
0.5915 0.7500 0.3888 Tl
0.5985 0.7500 0.9121 Tl
0.9616 0.5102 0.7383 Tl
0.9616 0.9898 0.7383 Tl
0.2524 0.7500 0.0592 Te
0.7476 0.2500 0.9408 Te
0.2755 0.7500 0.5675 Cl
0.7245 0.2500 0.4325 Cl
0.1946 0.2500 0.7862 F
0.8054 0.7500 0.2138 F
```

Top 10 peaks for 5 to 70 degrees two-theta, by angle:
d 3.297, 27.04 deg, intensity 42
d 3.226, 27.65 deg, intensity 100
d 3.001, 29.77 deg, intensity 15
d 2.949, 30.31 deg, intensity 18
d 2.782, 32.17 deg, intensity 29
d 2.768, 32.34 deg, intensity 30
d 2.266, 39.78 deg, intensity 21
d 2.236, 40.33 deg, intensity 14
d 2.011, 45.08 deg, intensity 14
d 1.862, 48.92 deg, intensity 17

---

The following is a simulated powder diffraction line list of Ba5As2O. It was derived from a cell relaxed with GGA-PBE, using Cu Kα (weighted mean of Kα1 and Kα2).
Peak positions follow from Bragg's law for the DFT cell and can differ from measured ones.

Structure:
```
Ba5As2O
1.0
14.9211 0.0000 0.0000
0.0000 5.1579 0.0000
0.0000 0.0000 16.8613
Ba As O
20 8 4
direct
0.0120 0.2500 0.1503 Ba
0.0176 0.7500 0.3948 Ba
0.1983 0.2500 0.9620 Ba
0.2381 0.7500 0.1195 Ba
0.2445 0.2500 0.2780 Ba
0.2555 0.7500 0.7780 Ba
0.2619 0.2500 0.6195 Ba
0.3017 0.7500 0.4620 Ba
0.4824 0.2500 0.8948 Ba
0.4880 0.7500 0.6503 Ba
0.5120 0.2500 0.3497 Ba
0.5176 0.7500 0.1052 Ba
0.6983 0.2500 0.5380 Ba
0.7381 0.7500 0.3805 Ba
0.7445 0.2500 0.2220 Ba
0.7555 0.7500 0.7220 Ba
0.7619 0.2500 0.8805 Ba
0.8017 0.7500 0.0380 Ba
0.9824 0.2500 0.6052 Ba
0.9880 0.7500 0.8497 Ba
0.1131 0.2500 0.7728 As
0.1433 0.2500 0.4557 As
0.3567 0.7500 0.9557 As
0.3869 0.7500 0.2728 As
0.6131 0.2500 0.7272 As
0.6433 0.2500 0.0443 As
0.8567 0.7500 0.5443 As
0.8869 0.7500 0.2272 As
0.1835 0.2500 0.1267 O
0.3165 0.7500 0.6267 O
0.6835 0.2500 0.3733 O
0.8165 0.7500 0.8733 O
```

Top 10 peaks for 5 to 70 degrees two-theta, by angle:
d 4.243, 20.94 deg, intensity 34
d 4.220, 21.05 deg, intensity 48
d 3.730, 23.86 deg, intensity 39
d 3.676, 24.21 deg, intensity 48
d 3.295, 27.06 deg, intensity 100
d 3.020, 29.58 deg, intensity 55
d 2.762, 32.42 deg, intensity 50
d 2.662, 33.67 deg, intensity 72
d 2.579, 34.79 deg, intensity 63
d 2.435, 36.92 deg, intensity 33

---

The following is a simulated powder diffraction line list of SrSiO3. It was derived from a cell relaxed with GGA-PBE, using Cu Kα (weighted mean of Kα1 and Kα2).
Peak positions follow from Bragg's law for the DFT cell and can differ from measured ones.

Structure:
```
SrSiO3
1.0
6.5285 0.0000 0.0000
0.0000 11.3682 0.0000
0.0000 0.0000 4.7444
Sr Si O
4 4 12
direct
0.0906 0.1326 0.0000 Sr
0.4094 0.6326 0.5000 Sr
0.5906 0.3674 0.0000 Sr
0.9094 0.8674 0.5000 Sr
0.1411 0.4683 0.9381 Si
0.3589 0.9683 0.4381 Si
0.6411 0.0317 0.9381 Si
0.8589 0.5317 0.4381 Si
0.0778 0.5046 0.6067 O
0.1660 0.0538 0.5143 O
0.2097 0.3322 0.9629 O
0.2903 0.8322 0.4629 O
0.3340 0.5538 0.0143 O
0.4222 0.0046 0.1067 O
0.5778 0.9954 0.6067 O
0.6660 0.4462 0.5143 O
0.7097 0.1678 0.9629 O
0.7903 0.6678 0.4629 O
0.8340 0.9462 0.0143 O
0.9222 0.4954 0.1067 O
```

Top 10 peaks for 5 to 70 degrees two-theta, by angle:
d 5.677, 15.61 deg, intensity 39
d 4.378, 20.28 deg, intensity 100
d 3.277, 27.21 deg, intensity 49
d 3.181, 28.05 deg, intensity 45
d 3.137, 28.45 deg, intensity 39
d 2.691, 33.29 deg, intensity 52
d 2.473, 36.32 deg, intensity 19
d 2.372, 37.93 deg, intensity 31
d 1.954, 46.48 deg, intensity 26
d 1.699, 53.97 deg, intensity 19

---

The following is a simulated powder diffraction line list of BaIn3Sn2. It was derived from a cell relaxed with GGA-PBE, using Cu Kα (weighted mean of Kα1 and Kα2).
Peak positions follow from Bragg's law for the DFT cell and can differ from measured ones.

Structure:
```
BaIn3Sn2
1.0
8.6504 -2.6680 0.0000
8.6504 2.6680 0.0000
-5.1106 0.0000 8.2176
Ba In Sn
2 6 4
direct
0.1500 0.1500 0.2141 Ba
0.8500 0.8500 0.7859 Ba
0.0444 0.0444 0.7223 In
0.2766 0.2766 0.9788 In
0.4125 0.4125 0.4983 In
0.5875 0.5875 0.5017 In
0.7234 0.7234 0.0212 In
0.9556 0.9556 0.2777 In
0.1779 0.1779 0.6100 Sn
0.4768 0.4768 0.1279 Sn
0.5232 0.5232 0.8721 Sn
0.8221 0.8221 0.3900 Sn
```

Top 10 peaks for 5 to 70 degrees two-theta, by angle:
d 3.608, 24.67 deg, intensity 35
d 3.459, 25.75 deg, intensity 24
d 3.173, 28.12 deg, intensity 34
d 3.125, 28.57 deg, intensity 31
d 2.930, 30.51 deg, intensity 87
d 2.863, 31.24 deg, intensity 100
d 2.841, 31.49 deg, intensity 32
d 2.759, 32.45 deg, intensity 43
d 2.668, 33.59 deg, intensity 96
d 2.241, 40.24 deg, intensity 72

---

The following is a simulated powder diffraction line list of Na2Zn2IrO6. It was derived from a cell relaxed with GGA-PBE, using Cu Kα (weighted mean of Kα1 and Kα2).
Peak positions follow from Bragg's law for the DFT cell and can differ from measured ones.

Structure:
```
Na2Zn2IrO6
1.0
2.7364 -4.5641 0.0000
2.7364 4.5641 0.0000
-1.9468 0.0000 5.4297
Na Zn Ir O
2 2 1 6
direct
0.1753 0.8247 0.0000 Na
0.8247 0.1753 0.0000 Na
0.3384 0.6616 0.5000 Zn
0.6616 0.3384 0.5000 Zn
0.0000 0.0000 0.5000 Ir
0.0609 0.3761 0.6958 O
0.2354 0.2354 0.3052 O
0.3761 0.0609 0.6958 O
0.6239 0.9391 0.3042 O
0.7646 0.7646 0.6948 O
0.9391 0.6239 0.3042 O
```

Top 10 peaks for 5 to 70 degrees two-theta, by angle:
d 5.430, 16.33 deg, intensity 100
d 4.486, 19.79 deg, intensity 27
d 3.494, 25.50 deg, intensity 17
d 2.712, 33.03 deg, intensity 29
d 2.620, 34.23 deg, intensity 24
d 2.536, 35.39 deg, intensity 24
d 2.295, 39.26 deg, intensity 24
d 2.215, 40.73 deg, intensity 43
d 2.071, 43.71 deg, intensity 16
d 1.625, 56.63 deg, intensity 14

---

The following is a simulated powder diffraction line list of NdZn3Ag9. It was derived from a cell relaxed with GGA-PBE, using Cu Kα (weighted mean of Kα1 and Kα2).
Peak positions follow from Bragg's law for the DFT cell and can differ from measured ones.

Structure:
```
NdZn3Ag9
1.0
2.6632 -6.7114 0.0000
2.6632 6.7114 0.0000
-2.3109 0.0000 6.7228
Nd Zn Ag
1 3 9
direct
0.0000 0.0000 0.0000 Nd
0.0000 0.5000 0.0000 Zn
0.5000 0.0000 0.0000 Zn
0.5000 0.5000 0.5000 Zn
0.0000 0.0000 0.5000 Ag
0.0253 0.6681 0.6566 Ag
0.2998 0.5179 0.7860 Ag
0.3319 0.9747 0.3434 Ag
0.4821 0.7002 0.2140 Ag
0.5179 0.2998 0.7860 Ag
0.6681 0.0253 0.6566 Ag
0.7002 0.4821 0.2140 Ag
0.9747 0.3319 0.3434 Ag
```

Top 10 peaks for 5 to 70 degrees two-theta, by angle:
d 2.766, 32.36 deg, intensity 26
d 2.678, 33.47 deg, intensity 27
d 2.660, 33.70 deg, intensity 25
d 2.412, 37.28 deg, intensity 32
d 2.372, 37.92 deg, intensity 100
d 2.358, 38.17 deg, intensity 27
d 2.316, 38.89 deg, intensity 23
d 2.285, 39.44 deg, intensity 31
d 2.124, 42.56 deg, intensity 26
d 2.083, 43.43 deg, intensity 32

---

The following is a simulated powder diffraction line list of Cd5Hg2Bi2. It was derived from a cell relaxed with GGA-PBE, using Cu Kα (weighted mean of Kα1 and Kα2).
Peak positions follow from Bragg's law for the DFT cell and can differ from measured ones.

Structure:
```
Cd5Hg2Bi2
1.0
5.2253 0.0000 0.0000
-0.1408 5.2474 0.0000
-1.8873 -1.9690 9.0100
Cd Hg Bi
5 2 2
direct
0.0000 0.0000 0.0000 Cd
0.4286 0.9504 0.8244 Cd
0.4675 0.5853 0.3405 Cd
0.5325 0.4147 0.6595 Cd
0.5714 0.0496 0.1756 Cd
0.1855 0.4698 0.8869 Hg
0.8145 0.5302 0.1131 Hg
0.1567 0.0729 0.3753 Bi
0.8433 0.9271 0.6247 Bi
```

Top 10 peaks for 5 to 70 degrees two-theta, by angle:
d 3.466, 25.70 deg, intensity 41
d 3.073, 29.06 deg, intensity 100
d 2.981, 29.97 deg, intensity 33
d 2.697, 33.22 deg, intensity 79
d 2.617, 34.27 deg, intensity 34
d 2.563, 35.01 deg, intensity 46
d 2.343, 38.42 deg, intensity 58
d 2.332, 38.61 deg, intensity 50
d 2.312, 38.95 deg, intensity 50
d 2.253, 40.01 deg, intensity 31